Diffraction record for I5Br. The powder X-ray diffraction pattern is simulated, not measured: it uses a cell relaxed with GGA-PBE and CuKα.
Lines closer than 0.1° are merged.

Most intense lines, 10 to 90 degrees two-theta, low angle first:
2theta	Rel. int.
14.3	90
15.4	61
19.9	60
20.8	100
22.3	26
26.1	18
31.5	25
32.9	18
33.1	21
33.6	31
36.3	19
45.4	24

Atomic structure:
Cell: 6.2721 6.2721 11.5230 Å, 97.03 97.03 85.83°
Atoms (fractional coordinates):
1 I 0.0000 0.0000 0.0000
2 I 0.5054 0.5054 0.2447
3 I 0.7476 0.7476 0.8149
4 I 0.8073 0.8073 0.5731
5 I 0.8200 0.8200 0.3199
6 Br 0.1984 0.1984 0.2114

=====

Diffraction record for MnCrCd4. The powder X-ray diffraction pattern is simulated, not measured: it uses a cell relaxed with GGA-PBE and CuKα.
Lines closer than 0.1° are merged.

Most intense lines, 10 to 90 degrees two-theta, low angle first:
2theta	Rel. int.
19.3	43
31.9	10
37.5	100
39.3	66
45.7	18
50.0	11
60.5	30
66.6	29
70.1	8
79.0	10
80.1	23
87.7	4

Atomic structure:
Cell: 5.6188 5.6188 5.6188 Å, 60.00 60.00 60.00°
Atoms (fractional coordinates):
1 Mn 0.0000 0.0000 0.0000
2 Cr 0.2500 0.2500 0.2500
3 Cd 0.1250 0.6250 0.6250
4 Cd 0.6250 0.1250 0.6250
5 Cd 0.6250 0.6250 0.1250
6 Cd 0.6250 0.6250 0.6250

=====

Diffraction record for K2SnHOF6. The powder X-ray diffraction pattern is simulated, not measured: it uses a cell relaxed with GGA-PBE and CuKα.
Lines closer than 0.1° are merged.

Most intense lines, 10 to 90 degrees two-theta, low angle first:
2theta	Rel. int.
10.7	54
16.0	48
17.3	99
19.0	81
20.0	72
25.2	67
27.7	100
28.6	28
38.5	38
38.9	36
40.5	32
43.8	29

Atomic structure:
Cell: 10.8731 9.4216 11.3573 Å, 62.28 50.09 67.62°
Atoms (fractional coordinates):
1 K 0.0000 0.0000 0.0000
2 K 0.1023 0.8453 0.6498
3 K 0.2500 0.2500 0.2500
4 K 0.4353 0.4353 0.5647
5 K 0.6002 0.8474 0.1477
6 K 0.6853 0.6853 0.8147
7 K 0.8453 0.1023 0.4026
8 K 0.8474 0.6002 0.4047
9 Sn 0.1932 0.7614 0.3106
10 Sn 0.5152 0.9394 0.4886
11 Sn 0.7614 0.1932 0.7348
12 Sn 0.9394 0.5152 0.0568
13 H 0.0809 0.3122 0.8447
14 H 0.3122 0.0809 0.7622
15 H 0.4053 0.4878 0.1691
16 H 0.4878 0.4053 0.9378
17 O 0.1684 0.2725 0.7502
18 O 0.2725 0.1684 0.8089
19 O 0.4411 0.4998 0.9775
20 O 0.4998 0.4411 0.0816
21 F 0.0172 0.3731 0.2001
22 F 0.0499 0.8404 0.2328
23 F 0.1557 0.5412 0.8469
24 F 0.1673 0.9883 0.3014
25 F 0.2096 0.5367 0.3199
26 F 0.3161 0.9301 0.7133
27 F 0.3203 0.6911 0.4057
28 F 0.3731 0.0172 0.4096
29 F 0.4031 0.7938 0.0943
30 F 0.5105 0.7132 0.5201
31 F 0.5367 0.2096 0.9339
32 F 0.5412 0.1557 0.4562
33 F 0.6670 0.8443 0.5589
34 F 0.6911 0.3203 0.5830
35 F 0.7071 0.9486 0.2617
36 F 0.7132 0.5105 0.2562
37 F 0.7299 0.9938 0.7395
38 F 0.7938 0.4031 0.7088
39 F 0.8404 0.0499 0.8769
40 F 0.8443 0.6670 0.9297
41 F 0.9301 0.3161 0.0404
42 F 0.9486 0.7071 0.0827
43 F 0.9883 0.1673 0.5429
44 F 0.9938 0.7299 0.5368

=====

Diffraction record for ZrAsPd6. The powder X-ray diffraction pattern is simulated, not measured: it uses a cell relaxed with GGA-PBE and CuKα.
Lines closer than 0.1° are merged.

Most intense lines, 10 to 90 degrees two-theta, low angle first:
2theta	Rel. int.
11.3	13
22.7	20
24.9	16
39.2	73
40.2	52
40.9	17
41.2	26
41.5	100
45.7	33
58.9	19
72.1	17
74.0	17

Atomic structure:
Cell: 4.6033 4.6033 7.8410 Å, 90.00 90.00 121.73°
Atoms (fractional coordinates):
1 Zr 0.0000 0.0000 0.0000
2 As 0.5000 0.5000 0.5000
3 Pd 0.0000 0.0000 0.3304
4 Pd 0.0000 0.0000 0.6696
5 Pd 0.3360 0.6640 0.1842
6 Pd 0.3360 0.6640 0.8158
7 Pd 0.6640 0.3360 0.1842
8 Pd 0.6640 0.3360 0.8158